Record 1
CdSiTe2: simulated X-ray diffraction stick pattern (Cu Kα (weighted mean of Kα1 and Kα2)), based on DFT lattice parameters and positions (GGA-PBE).
Peak positions follow from Bragg's law for the DFT cell and can differ from measured ones.

Principal peaks in the range 2θ = 10–80°, in order of rising 2θ:
- 20.9°, I 138
- 24.2°, I 59
- 34.5°, I 1000
- 40.7°, I 76
- 49.6°, I 175
- 54.5°, I 33
- 61.9°, I 356
- 72.8°, I 109

Structure:
Cell: 5.1938 5.1938 5.1938 Å, 60.00 60.00 60.00°
Fractional coordinates of all 4 atoms:
Cd 0.0000 0.0000 0.0000
Si 0.7500 0.7500 0.7500
Te 0.2500 0.2500 0.2500
Te 0.5000 0.5000 0.5000

Record 2
SmCd11: simulated X-ray diffraction stick pattern (Cu Kα (weighted mean of Kα1 and Kα2)), based on DFT lattice parameters and positions (GGA-PBE).
Peak positions follow from Bragg's law for the DFT cell and can differ from measured ones.

Principal peaks in the range 2θ = 10–80°, in order of rising 2θ:
- 30.3°, I 382
- 31.8°, I 966
- 33.3°, I 849
- 34.7°, I 494
- 39.9°, I 1000
- 41.1°, I 705
- 44.5°, I 538
- 63.9°, I 317

Structure:
Cell: 9.3223 9.3223 9.3223 Å, 90.00 90.00 90.00°
Fractional coordinates of all 36 atoms:
Sm 0.0000 0.0000 0.5000
Sm 0.0000 0.5000 0.0000
Sm 0.5000 0.0000 0.0000
Cd 0.0000 0.3445 0.3445
Cd 0.0000 0.3445 0.6555
Cd 0.0000 0.6555 0.3445
Cd 0.0000 0.6555 0.6555
Cd 0.1565 0.1565 0.1565
Cd 0.1565 0.1565 0.8435
Cd 0.1565 0.8435 0.1565
Cd 0.1565 0.8435 0.8435
Cd 0.2655 0.2655 0.5000
Cd 0.2655 0.5000 0.2655
Cd 0.2655 0.5000 0.7345
Cd 0.2655 0.7345 0.5000
Cd 0.3445 0.0000 0.3445
Cd 0.3445 0.0000 0.6555
Cd 0.3445 0.3445 0.0000
Cd 0.3445 0.6555 0.0000
Cd 0.5000 0.2655 0.2655
Cd 0.5000 0.2655 0.7345
Cd 0.5000 0.5000 0.5000
Cd 0.5000 0.7345 0.2655
Cd 0.5000 0.7345 0.7345
Cd 0.6555 0.0000 0.3445
Cd 0.6555 0.0000 0.6555
Cd 0.6555 0.3445 0.0000
Cd 0.6555 0.6555 0.0000
Cd 0.7345 0.2655 0.5000
Cd 0.7345 0.5000 0.2655
Cd 0.7345 0.5000 0.7345
Cd 0.7345 0.7345 0.5000
Cd 0.8435 0.1565 0.1565
Cd 0.8435 0.1565 0.8435
Cd 0.8435 0.8435 0.1565
Cd 0.8435 0.8435 0.8435

Record 3
SmCd2Sn: simulated X-ray diffraction stick pattern (Cu Kα (weighted mean of Kα1 and Kα2)), based on DFT lattice parameters and positions (GGA-PBE).
Peak positions follow from Bragg's law for the DFT cell and can differ from measured ones.

Principal peaks in the range 2θ = 10–80°, in order of rising 2θ:
- 33.6°, I 1000
- 37.0°, I 192
- 39.9°, I 311
- 55.6°, I 234
- 57.7°, I 104
- 64.6°, I 148
- 68.5°, I 248
- 70.6°, I 114

Structure:
Cell: 4.5170 4.5170 4.8540 Å, 90.00 90.00 90.00°
Fractional coordinates of all 4 atoms:
Sm 0.0000 0.0000 0.0000
Cd 0.0000 0.5000 0.5000
Cd 0.5000 0.0000 0.5000
Sn 0.5000 0.5000 0.0000

Record 4
Sm5Tl3Cd: simulated X-ray diffraction stick pattern (Cu Kα (weighted mean of Kα1 and Kα2)), based on DFT lattice parameters and positions (GGA-PBE).
Peak positions follow from Bragg's law for the DFT cell and can differ from measured ones.

Principal peaks in the range 2θ = 10–80°, in order of rising 2θ:
- 26.2°, I 138
- 31.6°, I 343
- 32.4°, I 1000
- 32.6°, I 973
- 41.7°, I 142
- 46.6°, I 297
- 58.1°, I 246
- 64.5°, I 378

Structure:
Cell: 9.5104 9.5104 6.7926 Å, 90.00 90.00 120.00°
Fractional coordinates of all 18 atoms:
Sm 0.0000 0.2901 0.2500
Sm 0.0000 0.7099 0.7500
Sm 0.2901 0.0000 0.2500
Sm 0.2901 0.2901 0.7500
Sm 0.3333 0.6667 0.0000
Sm 0.3333 0.6667 0.5000
Sm 0.6667 0.3333 0.0000
Sm 0.6667 0.3333 0.5000
Sm 0.7099 0.0000 0.7500
Sm 0.7099 0.7099 0.2500
Tl 0.0000 0.3703 0.7500
Tl 0.0000 0.6297 0.2500
Tl 0.3703 0.0000 0.7500
Tl 0.3703 0.3703 0.2500
Tl 0.6297 0.0000 0.2500
Tl 0.6297 0.6297 0.7500
Cd 0.0000 0.0000 0.0000
Cd 0.0000 0.0000 0.5000

Record 5
SmYTl2Cd2: simulated X-ray diffraction stick pattern (Cu Kα (weighted mean of Kα1 and Kα2)), based on DFT lattice parameters and positions (GGA-PBE).
Peak positions follow from Bragg's law for the DFT cell and can differ from measured ones.

Principal peaks in the range 2θ = 10–80°, in order of rising 2θ:
- 24.0°, I 327
- 31.7°, I 1000
- 36.6°, I 973
- 41.7°, I 290
- 49.1°, I 292
- 62.0°, I 179
- 62.8°, I 278
- 65.8°, I 173

Structure:
Cell: 4.9142 4.9142 7.5522 Å, 90.00 90.00 120.00°
Fractional coordinates of all 6 atoms:
Sm 0.0000 0.0000 0.0000
Y 0.0000 0.0000 0.4995
Tl 0.3333 0.6667 0.2093
Tl 0.6667 0.3333 0.7044
Cd 0.3333 0.6667 0.7876
Cd 0.6667 0.3333 0.2934

Record 6
CdSn2: simulated X-ray diffraction stick pattern (Cu Kα (weighted mean of Kα1 and Kα2)), based on DFT lattice parameters and positions (GGA-PBE).
Peak positions follow from Bragg's law for the DFT cell and can differ from measured ones.

Principal peaks in the range 2θ = 10–80°, in order of rising 2θ:
- 21.9°, I 249
- 25.3°, I 155
- 36.1°, I 1000
- 42.6°, I 127
- 51.9°, I 177
- 58.6°, I 71
- 64.9°, I 366
- 76.5°, I 116

Structure:
Cell: 4.9803 4.9803 4.9803 Å, 60.00 60.00 60.00°
Fractional coordinates of all 3 atoms:
Cd 0.0000 0.0000 0.0000
Sn 0.2500 0.2500 0.2500
Sn 0.7500 0.7500 0.7500

Record 7
Sr3Cd16: simulated X-ray diffraction stick pattern (Cu Kα (weighted mean of Kα1 and Kα2)), based on DFT lattice parameters and positions (GGA-PBE).
Peak positions follow from Bragg's law for the DFT cell and can differ from measured ones.

Principal peaks in the range 2θ = 10–80°, in order of rising 2θ:
- 13.6°, I 236
- 30.8°, I 747
- 38.0°, I 1000
- 39.3°, I 181
- 41.7°, I 168
- 51.8°, I 122
- 63.3°, I 310
- 79.6°, I 165

Structure:
Cell: 9.1793 9.1793 11.5974 Å, 90.00 90.00 90.00°
Fractional coordinates of all 38 atoms:
Sr 0.2500 0.2500 0.0851
Sr 0.2500 0.2500 0.4149
Sr 0.2500 0.2500 0.7500
Sr 0.7500 0.7500 0.2500
Sr 0.7500 0.7500 0.5851
Sr 0.7500 0.7500 0.9149
Cd 0.0928 0.6111 0.0624
Cd 0.0928 0.8889 0.4376
Cd 0.0986 0.6060 0.8123
Cd 0.0986 0.8940 0.6877
Cd 0.1060 0.5986 0.3123
Cd 0.1060 0.9014 0.1877
Cd 0.1111 0.5928 0.5624
Cd 0.1111 0.9072 0.9376
Cd 0.3889 0.5928 0.9376
Cd 0.3889 0.9072 0.5624
Cd 0.3940 0.5986 0.1877
Cd 0.3940 0.9014 0.3123
Cd 0.4014 0.6060 0.6877
Cd 0.4014 0.8940 0.8123
Cd 0.4072 0.6111 0.4376
Cd 0.4072 0.8889 0.0624
Cd 0.5928 0.1111 0.9376
Cd 0.5928 0.3889 0.5624
Cd 0.5986 0.1060 0.1877
Cd 0.5986 0.3940 0.3123
Cd 0.6060 0.0986 0.6877
Cd 0.6060 0.4014 0.8123
Cd 0.6111 0.0928 0.4376
Cd 0.6111 0.4072 0.0624
Cd 0.8889 0.0928 0.0624
Cd 0.8889 0.4072 0.4376
Cd 0.8940 0.0986 0.8123
Cd 0.8940 0.4014 0.6877
Cd 0.9014 0.1060 0.3123
Cd 0.9014 0.3940 0.1877
Cd 0.9072 0.1111 0.5624
Cd 0.9072 0.3889 0.9376

Record 8
Sr2Cd17: simulated X-ray diffraction stick pattern (Cu Kα (weighted mean of Kα1 and Kα2)), based on DFT lattice parameters and positions (GGA-PBE).
Peak positions follow from Bragg's law for the DFT cell and can differ from measured ones.

Principal peaks in the range 2θ = 10–80°, in order of rising 2θ:
- 30.2°, I 304
- 35.1°, I 617
- 35.3°, I 1000
- 35.9°, I 475
- 36.1°, I 287
- 39.6°, I 962
- 62.9°, I 303
- 64.1°, I 295

Structure:
Cell: 7.7443 7.7443 7.7443 Å, 82.74 82.74 82.74°
Fractional coordinates of all 19 atoms:
Sr 0.1634 0.1634 0.1634
Sr 0.8366 0.8366 0.8366
Cd 0.0000 0.5000 0.5000
Cd 0.1438 0.1438 0.6609
Cd 0.1438 0.6609 0.1438
Cd 0.2017 0.5000 0.7983
Cd 0.2017 0.7983 0.5000
Cd 0.3391 0.8562 0.8562
Cd 0.3986 0.3986 0.3986
Cd 0.5000 0.0000 0.5000
Cd 0.5000 0.2017 0.7983
Cd 0.5000 0.5000 0.0000
Cd 0.5000 0.7983 0.2017
Cd 0.6014 0.6014 0.6014
Cd 0.6609 0.1438 0.1438
Cd 0.7983 0.2017 0.5000
Cd 0.7983 0.5000 0.2017
Cd 0.8562 0.3391 0.8562
Cd 0.8562 0.8562 0.3391

Record 9
Sr2TlCd: simulated X-ray diffraction stick pattern (Cu Kα (weighted mean of Kα1 and Kα2)), based on DFT lattice parameters and positions (GGA-PBE).
Peak positions follow from Bragg's law for the DFT cell and can differ from measured ones.

Principal peaks in the range 2θ = 10–80°, in order of rising 2θ:
- 22.1°, I 90
- 31.2°, I 1000
- 31.4°, I 490
- 44.3°, I 95
- 45.0°, I 180
- 55.3°, I 196
- 55.8°, I 381
- 65.0°, I 120

Structure:
Cell: 5.6957 5.6957 4.0915 Å, 90.00 90.00 90.00°
Fractional coordinates of all 4 atoms:
Sr 0.0000 0.5000 0.0000
Sr 0.5000 0.0000 0.0000
Tl 0.0000 0.0000 0.5000
Cd 0.5000 0.5000 0.5000

Record 10
SrZrCd4: simulated X-ray diffraction stick pattern (Cu Kα (weighted mean of Kα1 and Kα2)), based on DFT lattice parameters and positions (GGA-PBE).
Peak positions follow from Bragg's law for the DFT cell and can differ from measured ones.

Principal peaks in the range 2θ = 10–80°, in order of rising 2θ:
- 34.4°, I 1000
- 36.1°, I 517
- 40.2°, I 116
- 46.8°, I 67
- 52.0°, I 176
- 60.5°, I 110
- 63.8°, I 313
- 67.7°, I 103

Structure:
Cell: 3.5202 3.5202 11.6485 Å, 90.00 90.00 90.00°
Fractional coordinates of all 6 atoms:
Sr 0.0000 0.0000 0.0000
Zr 0.5000 0.5000 0.5000
Cd 0.0000 0.0000 0.3466
Cd 0.0000 0.0000 0.6534
Cd 0.5000 0.5000 0.2001
Cd 0.5000 0.5000 0.7999

Record 11
TaCd5: simulated X-ray diffraction stick pattern (Cu Kα (weighted mean of Kα1 and Kα2)), based on DFT lattice parameters and positions (GGA-PBE).
Peak positions follow from Bragg's law for the DFT cell and can differ from measured ones.

Principal peaks in the range 2θ = 10–80°, in order of rising 2θ:
- 32.2°, I 315
- 34.3°, I 1000
- 35.9°, I 650
- 36.0°, I 344
- 36.1°, I 524
- 36.6°, I 319
- 36.7°, I 385
- 37.9°, I 389

Structure:
Cell: 10.4222 10.4222 5.8058 Å, 98.09 98.09 118.72°
Fractional coordinates of all 24 atoms:
Ta 0.2202 0.7798 0.0000
Ta 0.3780 0.3780 0.8615
Ta 0.6220 0.6220 0.1385
Ta 0.7798 0.2202 0.0000
Cd 0.0319 0.1890 0.8940
Cd 0.0507 0.6711 0.4925
Cd 0.1131 0.4780 0.1274
Cd 0.1314 0.1314 0.4373
Cd 0.1890 0.0319 0.8940
Cd 0.2851 0.5740 0.7036
Cd 0.3289 0.9493 0.5075
Cd 0.3733 0.3733 0.3401
Cd 0.4260 0.7149 0.2964
Cd 0.4780 0.1131 0.1274
Cd 0.5220 0.8869 0.8726
Cd 0.5740 0.2851 0.7036
Cd 0.6267 0.6267 0.6599
Cd 0.6711 0.0507 0.4925
Cd 0.7149 0.4260 0.2964
Cd 0.8110 0.9681 0.1060
Cd 0.8686 0.8686 0.5627
Cd 0.8869 0.5220 0.8726
Cd 0.9493 0.3289 0.5075
Cd 0.9681 0.8110 0.1060

Record 12
Cd2TcW: simulated X-ray diffraction stick pattern (Cu Kα (weighted mean of Kα1 and Kα2)), based on DFT lattice parameters and positions (GGA-PBE).
Peak positions follow from Bragg's law for the DFT cell and can differ from measured ones.

Principal peaks in the range 2θ = 10–80°, in order of rising 2θ:
- 23.6°, I 41
- 27.4°, I 31
- 39.1°, I 1000
- 46.2°, I 23
- 56.5°, I 168
- 62.1°, I 10
- 63.9°, I 13
- 70.8°, I 336

Structure:
Cell: 4.6079 4.6079 4.6079 Å, 60.00 60.00 60.00°
Fractional coordinates of all 4 atoms:
Cd 0.0000 0.0000 0.0000
Cd 0.2500 0.2500 0.2500
Tc 0.5000 0.5000 0.5000
W 0.7500 0.7500 0.7500

Record 13
Tl2CdTe4: simulated X-ray diffraction stick pattern (Cu Kα (weighted mean of Kα1 and Kα2)), based on DFT lattice parameters and positions (GGA-PBE).
Peak positions follow from Bragg's law for the DFT cell and can differ from measured ones.

Principal peaks in the range 2θ = 10–80°, in order of rising 2θ:
- 24.1°, I 1000
- 25.0°, I 136
- 32.2°, I 201
- 39.8°, I 484
- 40.1°, I 229
- 46.9°, I 146
- 47.3°, I 265
- 63.3°, I 115

Structure:
Cell: 7.8609 7.8609 7.8609 Å, 132.26 132.26 69.82°
Fractional coordinates of all 7 atoms:
Tl 0.0000 0.0000 0.0000
Tl 0.7500 0.2500 0.5000
Cd 0.2500 0.7500 0.5000
Te 0.1773 0.6062 0.0055
Te 0.3938 0.3993 0.5711
Te 0.6007 0.1718 0.9945
Te 0.8282 0.8227 0.4289